For Tb2Tm5Th, DFT lattice parameters and positions (PBE) gives the computed powder XRD pattern in this record (Cu Ka).
Intensities are scaled so that the largest is 100.

Cell and atoms:
```
Tb2Tm5Th
1.0
0.000 5.637 6.193
3.570 0.000 6.193
3.570 5.637 0.000
Tb Tm Th
2 5 1
Direct
0.249 0.751 0.249
0.751 0.249 0.751
0.252 0.252 0.248
0.334 0.836 0.666
0.335 0.335 0.665
0.752 0.752 0.748
0.836 0.334 0.164
0.836 0.836 0.164
```

Principal peaks in the range 2θ = 15–90°, low angle first:
d 3.094, 28.85 deg, I = 24
d 2.818, 31.75 deg, I = 25
d 2.712, 33.02 deg, I = 100
d 1.786, 51.13 deg, I = 20
d 1.606, 57.37 deg, I = 21
d 1.509, 61.45 deg, I = 23